(1)
Diffraction record for Pr4AlFe33. The powder X-ray diffraction pattern is theoretical, not measured: it uses a structure optimized by DFT (PBE) and Cu Ka.
Peak positions follow from Bragg's law for the DFT cell and can differ from measured ones.

Structure:
Cell: 6.4765 6.4765 12.9502 Å, 97.30 97.30 82.71°
Fractional coordinates of all 38 atoms:
Pr1 0.0000 0.0000 0.0000
Pr2 0.0044 0.0044 0.5011
Pr3 0.6836 0.6836 0.1589
Pr4 0.6908 0.6908 0.6578
Al1 0.4397 0.4397 0.7819
Fe1 0.0010 0.4964 0.0002
Fe2 0.0024 0.0024 0.2527
Fe3 0.0031 0.0031 0.7528
Fe4 0.0045 0.4999 0.5008
Fe5 0.0547 0.3433 0.1856
Fe6 0.0558 0.6321 0.3300
Fe7 0.0583 0.6297 0.8292
Fe8 0.0588 0.3455 0.6868
Fe9 0.1884 0.6839 0.1591
Fe10 0.1904 0.6870 0.6592
Fe11 0.2457 0.2457 0.8791
Fe12 0.2480 0.2480 0.3777
Fe13 0.3424 0.3424 0.0799
Fe14 0.3433 0.0547 0.1856
Fe15 0.3436 0.6291 0.9727
Fe16 0.3438 0.8442 0.3300
Fe17 0.3444 0.8438 0.8296
Fe18 0.3453 0.6329 0.4741
Fe19 0.3455 0.0588 0.6868
Fe20 0.3458 0.3458 0.5798
Fe21 0.4397 0.4397 0.2819
Fe22 0.4964 0.0010 0.0002
Fe23 0.4999 0.0045 0.5008
Fe24 0.6291 0.3436 0.9727
Fe25 0.6297 0.0583 0.8292
Fe26 0.6321 0.0558 0.3300
Fe27 0.6329 0.3453 0.4741
Fe28 0.6839 0.1884 0.1591
Fe29 0.6849 0.6849 0.9075
Fe30 0.6859 0.6859 0.4068
Fe31 0.6870 0.1904 0.6592
Fe32 0.8442 0.3438 0.3300
Fe33 0.8438 0.3444 0.8296

Largest 10 diffraction maxima, in order of rising 2θ, 2θ = 5–70°:
Position (°2θ), I/Imax
29.86, 39.3
36.37, 36.7
37.54, 27.2
42.24, 62.6
42.49, 100.0
43.24, 52.3
47.74, 23.1
61.47, 17.8
62.05, 28.8
69.65, 13.8

=====

(2)
Diffraction record for Pr6Al3Fe11. The powder X-ray diffraction pattern is theoretical, not measured: it uses a structure optimized by DFT (PBE) and Cu Ka.
Peak positions follow from Bragg's law for the DFT cell and can differ from measured ones.

Structure:
Cell: 13.0946 13.0946 13.0946 Å, 143.89 143.89 51.99°
Fractional coordinates of all 40 atoms:
Pr1 0.0000 0.0000 0.0000
Pr2 0.0853 0.2562 0.5000
Pr3 0.1294 0.9659 0.5000
Pr4 0.2115 0.2115 0.0000
Pr5 0.2562 0.7562 0.1709
Pr6 0.4659 0.6294 0.5000
Pr7 0.5000 0.5000 0.0000
Pr8 0.5853 0.0853 0.8291
Pr9 0.6294 0.1294 0.1635
Pr10 0.7115 0.7115 0.0000
Pr11 0.7562 0.5853 0.5000
Pr12 0.9659 0.4659 0.8365
Al1 0.0803 0.5803 0.2628
Al2 0.3175 0.8175 0.7372
Al3 0.3566 0.3566 0.0000
Al4 0.5803 0.3175 0.5000
Al5 0.8175 0.0803 0.5000
Al6 0.8566 0.8566 0.0000
Fe1 0.0367 0.3158 0.1427
Fe2 0.1050 0.6050 0.5000
Fe3 0.1249 0.6249 0.7246
Fe4 0.1731 0.8940 0.8573
Fe5 0.2265 0.3681 0.5000
Fe6 0.3158 0.1731 0.2792
Fe7 0.3374 0.4858 0.5000
Fe8 0.3681 0.8681 0.1416
Fe9 0.3940 0.6731 0.8573
Fe10 0.4003 0.1249 0.5000
Fe11 0.4858 0.9858 0.1484
Fe12 0.5367 0.3940 0.7208
Fe13 0.6050 0.1050 0.5000
Fe14 0.6249 0.9003 0.5000
Fe15 0.6731 0.8158 0.2792
Fe16 0.7265 0.2265 0.8584
Fe17 0.8158 0.5367 0.1427
Fe18 0.8374 0.3374 0.8516
Fe19 0.8681 0.7265 0.5000
Fe20 0.8940 0.0367 0.7208
Fe21 0.9003 0.4003 0.2754
Fe22 0.9858 0.8374 0.5000

Largest 10 diffraction maxima, in order of rising 2θ, 2θ = 5–70°:
Position (°2θ), I/Imax
7.51, 67.6
27.07, 80.5
31.13, 100.0
34.96, 68.9
36.42, 29.4
37.76, 54.6
38.25, 62.9
42.61, 34.8
46.28, 42.6
50.25, 46.0